(1)
Simulated powder X-ray diffraction pattern of YMn6Ge6 for Cu Kα, 1.54184 Å, from a crystal structure in the Materials Project, relaxed with PBE.

Principal peaks in the range 5 to 70 degrees two-theta, low angle first:
| h k l | 2theta | I_rel |
| --- | --- | --- |
| 1 1 0 | 34.6 | 761 |
| 1 0 3 | 38.7 | 334 |
| 2 0 0 | 40.2 | 487 |
| 1 1 2 | 41.3 | 1000 |
| 0 0 4 | 44.4 | 253 |
| 2 0 2 | 46.2 | 720 |

```
data_YMn6Ge6
_chemical_formula_sum 'Y1 Mn6 Ge6'
_cell_length_a 5.1841
_cell_length_b 5.1841
_cell_length_c 8.1528
_cell_angle_alpha 90.00
_cell_angle_beta 90.00
_cell_angle_gamma 120.00
_space_group_name_H-M_alt 'P 6/m m m'
_space_group_IT_number 191
_space_group_name_Hall '-P 6 2'
loop_
_atom_site_label
_atom_site_fract_x
_atom_site_fract_y
_atom_site_fract_z
Y1 0.0000 0.0000 0.0000
Mn1 0.0000 0.5000 0.2510
Ge1 0.0000 0.0000 0.3446
Ge2 0.3333 0.6667 0.0000
Ge3 0.3333 0.6667 0.5000
```

=====

(2)
Simulated powder X-ray diffraction pattern of YMn2Ge2 for Cu Kα, 1.54184 Å, from a crystal structure in the Materials Project, relaxed with PBE.

Principal peaks in the range 5 to 70 degrees two-theta, low angle first:
| h k l | 2theta | I_rel |
| --- | --- | --- |
| 1 0 3 | 33.5 | 931 |
| 1 1 2 | 36.1 | 1000 |
| 2 0 0 | 46.0 | 680 |
| 1 1 4 | 46.5 | 304 |
| 1 0 5 | 47.6 | 454 |
| 2 1 3 | 58.1 | 370 |

```
data_YMn2Ge2
_chemical_formula_sum 'Y2 Mn4 Ge4'
_cell_length_a 3.9491
_cell_length_b 3.9491
_cell_length_c 10.9112
_cell_angle_alpha 90.00
_cell_angle_beta 90.00
_cell_angle_gamma 90.00
_space_group_name_H-M_alt 'I 4/m m m'
_space_group_IT_number 139
_space_group_name_Hall '-I 4 2'
loop_
_atom_site_label
_atom_site_fract_x
_atom_site_fract_y
_atom_site_fract_z
Y1 0.0000 0.0000 0.0000
Mn1 0.0000 0.5000 0.2500
Ge1 0.0000 0.0000 0.3806
```

=====

(3)
Simulated powder X-ray diffraction pattern of YMnGe for Cu Kα, 1.54184 Å, from a crystal structure in the Materials Project, relaxed with PBE.

Principal peaks in the range 5 to 70 degrees two-theta, low angle first:
| h k l | 2theta | I_rel |
| --- | --- | --- |
| 1 1 2 | 33.7 | 894 |
| 2 1 1 | 35.3 | 1000 |
| 1 0 3 | 35.9 | 286 |
| 0 1 3 | 40.2 | 359 |
| 1 1 3 | 42.3 | 269 |
| 0 2 0 | 44.2 | 394 |

```
data_YMnGe
_chemical_formula_sum 'Y4 Mn4 Ge4'
_cell_length_a 7.0717
_cell_length_b 4.0985
_cell_length_c 8.0311
_cell_angle_alpha 90.00
_cell_angle_beta 90.00
_cell_angle_gamma 90.00
_space_group_name_H-M_alt 'P n m a'
_space_group_IT_number 62
loop_
_space_group_symop_operation_xyz
'x,y,z'
'-x,-y,-z'
'-x+1/2,-y,z+1/2'
'x+1/2,y,-z+1/2'
'x+1/2,-y+1/2,-z+1/2'
'-x+1/2,y+1/2,z+1/2'
'-x,y+1/2,-z'
'x,-y+1/2,z'
loop_
_atom_site_label
_atom_site_fract_x
_atom_site_fract_y
_atom_site_fract_z
Y1 0.0258 0.2500 0.1807
Mn1 0.1315 0.2500 0.5540
Ge1 0.2251 0.7500 0.3812
```

=====

(4)
Simulated powder X-ray diffraction pattern of ZrMn6Ge6 for Cu Kα, 1.54184 Å, from a crystal structure in the Materials Project, relaxed with PBE.

Principal peaks in the range 5 to 70 degrees two-theta, low angle first:
| h k l | 2theta | I_rel |
| --- | --- | --- |
| 1 1 0 | 35.0 | 792 |
| 1 0 3 | 38.9 | 372 |
| 2 0 0 | 40.6 | 505 |
| 1 1 2 | 41.6 | 1000 |
| 0 0 4 | 44.6 | 282 |
| 2 0 2 | 46.6 | 765 |

```
data_ZrMn6Ge6
_chemical_formula_sum 'Zr1 Mn6 Ge6'
_cell_length_a 5.1299
_cell_length_b 5.1299
_cell_length_c 8.1314
_cell_angle_alpha 90.00
_cell_angle_beta 90.00
_cell_angle_gamma 120.00
_space_group_name_H-M_alt 'P 6/m m m'
_space_group_IT_number 191
_space_group_name_Hall '-P 6 2'
loop_
_atom_site_label
_atom_site_fract_x
_atom_site_fract_y
_atom_site_fract_z
Zr1 0.0000 0.0000 0.0000
Mn1 0.0000 0.5000 0.2496
Ge1 0.0000 0.0000 0.3391
Ge2 0.3333 0.6667 0.0000
Ge3 0.3333 0.6667 0.5000
```

=====

(5)
Simulated powder X-ray diffraction pattern of Nb3SnGeMo3 for Cu Kα, 1.54184 Å, from a crystal structure in the Materials Project, relaxed with PBE.

Principal peaks in the range 5 to 70 degrees two-theta, low angle first:
| h k l | 2theta | I_rel |
| --- | --- | --- |
| 2 0 2 | 34.8 | 350 |
| 2 -1 3 | 39.1 | 1000 |
| 1 2 2 | 43.0 | 578 |
| 3 0 0 | 43.1 | 194 |
| 5 -2 1 | 65.4 | 108 |
| 2 3 2 | 68.2 | 293 |

```
data_Nb3SnGeMo3
_chemical_formula_sum 'Nb9 Sn3 Ge3 Mo9'
_cell_length_a 7.2759
_cell_length_b 7.2759
_cell_length_c 8.9364
_cell_angle_alpha 90.00
_cell_angle_beta 90.00
_cell_angle_gamma 120.00
_space_group_name_H-M_alt 'R 3'
_space_group_IT_number 146
_space_group_name_Hall 'R 3'
loop_
_atom_site_label
_atom_site_fract_x
_atom_site_fract_y
_atom_site_fract_z
Nb1 0.0038 0.7507 0.0000
Sn1 0.0000 0.0000 0.7473
Ge1 0.0000 0.0000 0.2483
Mo1 0.0852 0.4161 0.1636
```

=====

(6)
Simulated powder X-ray diffraction pattern of Sc2Ge4Mo3 for Cu Kα, 1.54184 Å, from a crystal structure in the Materials Project, relaxed with PBE.

Principal peaks in the range 5 to 70 degrees two-theta, low angle first:
| h k l | 2theta | I_rel |
| --- | --- | --- |
| 1 3 2 | 35.8 | 832 |
| 2 3 1 | 36.3 | 688 |
| 1 5 1 | 39.6 | 497 |
| 2 4 1 | 40.9 | 454 |
| 0 6 0 | 41.9 | 1000 |
| 3 0 1 | 42.3 | 840 |

```
data_Sc2Ge4Mo3
_chemical_formula_sum 'Sc8 Ge16 Mo12'
_cell_length_a 6.7343
_cell_length_b 12.9082
_cell_length_c 6.9319
_cell_angle_alpha 90.00
_cell_angle_beta 90.00
_cell_angle_gamma 90.00
_space_group_name_H-M_alt 'P n m a'
_space_group_IT_number 62
loop_
_space_group_symop_operation_xyz
'x,y,z'
'-x,-y,-z'
'-x+1/2,-y,z+1/2'
'x+1/2,y,-z+1/2'
'x+1/2,-y+1/2,-z+1/2'
'-x+1/2,y+1/2,z+1/2'
'-x,y+1/2,-z'
'x,-y+1/2,z'
loop_
_atom_site_label
_atom_site_fract_x
_atom_site_fract_y
_atom_site_fract_z
Sc1 0.0103 0.0923 0.1736
Ge1 0.0355 0.2500 0.8778
Ge2 0.1781 0.0446 0.5395
Ge3 0.1895 0.7500 0.6479
Mo1 0.1636 0.6255 0.3386
Mo2 0.1686 0.2500 0.5000
```

=====

(7)
Simulated powder X-ray diffraction pattern of U2Ge4Mo3 for Cu Kα, 1.54184 Å, from a crystal structure in the Materials Project, relaxed with PBE.

Principal peaks in the range 5 to 70 degrees two-theta, low angle first:
| h k l | 2theta | I_rel |
| --- | --- | --- |
| 2 1 -2 | 33.8 | 605 |
| 1 2 1 | 34.1 | 526 |
| 2 2 -1 | 36.6 | 1000 |
| 1 1 2 | 37.1 | 864 |
| 1 1 -3 | 41.0 | 598 |
| 3 0 0 | 41.2 | 970 |

```
data_U2Ge4Mo3
_chemical_formula_sum 'U4 Ge8 Mo6'
_cell_length_a 7.0073
_cell_length_b 6.9895
_cell_length_c 6.9547
_cell_angle_alpha 90.00
_cell_angle_beta 110.31
_cell_angle_gamma 90.00
_space_group_name_H-M_alt 'P 1 21/c 1'
_space_group_IT_number 14
loop_
_space_group_symop_operation_xyz
'x,y,z'
'-x,-y,-z'
'-x,y+1/2,-z+1/2'
'x,-y+1/2,z+1/2'
loop_
_atom_site_label
_atom_site_fract_x
_atom_site_fract_y
_atom_site_fract_z
U1 0.1861 0.1647 0.0502
Ge1 0.0942 0.5489 0.8627
Ge2 0.4947 0.6411 0.6387
Mo1 0.2421 0.6531 0.2553
Mo2 0.5000 0.0000 0.5000
```

=====

(8)
Simulated powder X-ray diffraction pattern of Ge4Mo9W3 for Cu Kα, 1.54184 Å, from a crystal structure in the Materials Project, relaxed with PBE.

Principal peaks in the range 5 to 70 degrees two-theta, low angle first:
| h k l | 2theta | I_rel |
| --- | --- | --- |
| 2 0 0 | 36.0 | 147 |
| 2 1 0 | 40.5 | 1000 |
| 1 2 0 | 40.6 | 197 |
| 1 1 4 | 44.6 | 626 |
| 2 2 4 | 64.9 | 134 |
| 0 3 4 | 67.9 | 142 |

```
data_Ge4Mo9W3
_chemical_formula_sum 'Ge4 Mo9 W3'
_cell_length_a 4.9806
_cell_length_b 4.9723
_cell_length_c 9.9737
_cell_angle_alpha 90.00
_cell_angle_beta 90.01
_cell_angle_gamma 90.00
_space_group_name_H-M_alt 'P 1 m 1'
_space_group_IT_number 6
loop_
_space_group_symop_operation_xyz
'x,y,z'
'x,-y,z'
loop_
_atom_site_label
_atom_site_fract_x
_atom_site_fract_y
_atom_site_fract_z
Ge1 0.0000 0.0000 0.0000
Ge2 0.9997 0.0000 0.5000
Ge3 0.5002 0.5000 0.2503
Ge4 0.5002 0.5000 0.7504
Mo1 0.0003 0.2496 0.2500
Mo2 0.0003 0.2498 0.7498
Mo3 0.2502 0.5000 0.0004
Mo4 0.4995 0.0000 0.3751
Mo5 0.5000 0.0000 0.8752
Mo6 0.7498 0.5000 0.0004
Mo7 0.7498 0.5000 0.5004
W1 0.2504 0.5000 0.5004
W2 0.4995 0.0000 0.6252
W3 0.5000 0.0000 0.1251
```

=====

(9)
Simulated powder X-ray diffraction pattern of ZrGeMo for Cu Kα, 1.54184 Å, from a crystal structure in the Materials Project, relaxed with PBE.

Principal peaks in the range 5 to 70 degrees two-theta, low angle first:
| h k l | 2theta | I_rel |
| --- | --- | --- |
| 1 0 3 | 34.6 | 468 |
| 1 1 2 | 35.3 | 1000 |
| 2 1 0 | 35.6 | 682 |
| 2 1 1 | 37.3 | 896 |
| 1 1 3 | 43.0 | 554 |
| 3 0 2 | 44.1 | 555 |

```
data_ZrGeMo
_chemical_formula_sum 'Zr4 Ge4 Mo4'
_cell_length_a 7.0721
_cell_length_b 3.5959
_cell_length_c 8.3592
_cell_angle_alpha 90.00
_cell_angle_beta 90.00
_cell_angle_gamma 90.00
_space_group_name_H-M_alt 'P n m a'
_space_group_IT_number 62
loop_
_space_group_symop_operation_xyz
'x,y,z'
'-x,-y,-z'
'-x+1/2,-y,z+1/2'
'x+1/2,y,-z+1/2'
'x+1/2,-y+1/2,-z+1/2'
'-x+1/2,y+1/2,z+1/2'
'-x,y+1/2,-z'
'x,-y+1/2,z'
loop_
_atom_site_label
_atom_site_fract_x
_atom_site_fract_y
_atom_site_fract_z
Zr1 0.0466 0.2500 0.1677
Ge1 0.2476 0.7500 0.3605
Mo1 0.1281 0.2500 0.5600
```

=====

(10)
Simulated powder X-ray diffraction pattern of Ge3N2 for Cu Kα, 1.54184 Å, from a crystal structure in the Materials Project, relaxed with PBE.

Principal peaks in the range 5 to 70 degrees two-theta, low angle first:
| h k l | 2theta | I_rel |
| --- | --- | --- |
| 1 1 0 | 17.7 | 562 |
| 2 1 0 | 28.2 | 559 |
| 2 1 1 | 30.9 | 324 |
| 3 0 0 | 38.1 | 1000 |
| 3 3 0 | 55.0 | 555 |
| 3 3 3 | 68.8 | 206 |

```
data_Ge3N2
_chemical_formula_sum 'Ge12 N8'
_cell_length_a 7.0876
_cell_length_b 7.0876
_cell_length_c 7.0876
_cell_angle_alpha 90.00
_cell_angle_beta 90.00
_cell_angle_gamma 90.00
_space_group_name_H-M_alt 'P m -3 m'
_space_group_IT_number 221
_space_group_name_Hall '-P 4 2 3'
loop_
_atom_site_label
_atom_site_fract_x
_atom_site_fract_y
_atom_site_fract_z
Ge1 0.0000 0.3233 0.3233
N1 0.2223 0.2223 0.2223
```

=====

Question: Number 10 is which compound?
Answer: Ge3N2

=====

Please write out number 9 again, unchanged.
Simulated powder X-ray diffraction pattern of ZrGeMo for Cu Kα, 1.54184 Å, from a crystal structure in the Materials Project, relaxed with PBE.

Principal peaks in the range 5 to 70 degrees two-theta, low angle first:
| h k l | 2theta | I_rel |
| --- | --- | --- |
| 1 0 3 | 34.6 | 468 |
| 1 1 2 | 35.3 | 1000 |
| 2 1 0 | 35.6 | 682 |
| 2 1 1 | 37.3 | 896 |
| 1 1 3 | 43.0 | 554 |
| 3 0 2 | 44.1 | 555 |

```
data_ZrGeMo
_chemical_formula_sum 'Zr4 Ge4 Mo4'
_cell_length_a 7.0721
_cell_length_b 3.5959
_cell_length_c 8.3592
_cell_angle_alpha 90.00
_cell_angle_beta 90.00
_cell_angle_gamma 90.00
_space_group_name_H-M_alt 'P n m a'
_space_group_IT_number 62
loop_
_space_group_symop_operation_xyz
'x,y,z'
'-x,-y,-z'
'-x+1/2,-y,z+1/2'
'x+1/2,y,-z+1/2'
'x+1/2,-y+1/2,-z+1/2'
'-x+1/2,y+1/2,z+1/2'
'-x,y+1/2,-z'
'x,-y+1/2,z'
loop_
_atom_site_label
_atom_site_fract_x
_atom_site_fract_y
_atom_site_fract_z
Zr1 0.0466 0.2500 0.1677
Ge1 0.2476 0.7500 0.3605
Mo1 0.1281 0.2500 0.5600
```